# 1
# KCu3Te4Os
Simulated powder X-ray diffraction pattern, copper Kα. Input: a structure optimized by DFT (GGA-PBE).

Largest 12 diffraction maxima, by intensity, 10 to 90 degrees two-theta:
| Position (°2θ) | intensity |
| --- | --- |
| 39.2 | 100 |
| 13.6 | 75 |
| 23.7 | 75 |
| 46.4 | 29 |
| 71.1 | 26 |
| 50.7 | 24 |
| 19.3 | 23 |
| 41.7 | 19 |
| 33.8 | 18 |
| 56.7 | 15 |
| 52.7 | 13 |
| 60.5 | 11 |

Structural model:
a = 6.4952 Å, b = 6.4952 Å, c = 6.4952 Å
α = 90.00°, β = 90.00°, γ = 90.00°
Space group P-43m (No. 215)
One atom of each set of equivalent atoms:
K 0.0000 0.0000 0.0000 [1 per cell]
Cu 0.0000 0.5000 0.5000 [3 per cell]
Te 0.2768 0.2768 0.2768 [4 per cell]
Os 0.5000 0.5000 0.5000 [1 per cell]

***

# 2
# K4CuP2Pd
Simulated powder X-ray diffraction pattern, copper Kα. Input: a structure optimized by DFT (GGA-PBE).

Largest 12 diffraction maxima, by intensity, 10 to 90 degrees two-theta:
| Position (°2θ) | intensity |
| --- | --- |
| 29.6 | 100 |
| 14.7 | 94 |
| 36.5 | 41 |
| 18.0 | 40 |
| 33.9 | 38 |
| 34.9 | 35 |
| 35.5 | 28 |
| 28.6 | 24 |
| 36.8 | 23 |
| 51.4 | 20 |
| 40.3 | 18 |
| 39.3 | 18 |

Structural model:
a = 7.6205 Å, b = 9.8511 Å, c = 5.6302 Å
α = 90.00°, β = 91.47°, γ = 90.00°
Space group C2/m (No. 12)
One atom of each set of equivalent atoms:
K 0.1458 0.1701 0.2528 [8 per cell]
Cu 0.0000 0.5000 0.0000 [2 per cell]
P 0.2414 0.5000 0.2397 [4 per cell]
Pd 0.0000 0.5000 0.5000 [2 per cell]

***

# 3
# KRb2Cu3P2
Simulated powder X-ray diffraction pattern, copper Kα. Input: a structure optimized by DFT (GGA-PBE).

Largest 12 diffraction maxima, by intensity, 10 to 90 degrees two-theta:
| Position (°2θ) | intensity |
| --- | --- |
| 28.3 | 100 |
| 36.0 | 60 |
| 35.1 | 60 |
| 40.7 | 58 |
| 13.3 | 50 |
| 30.0 | 41 |
| 52.2 | 34 |
| 62.4 | 25 |
| 33.0 | 23 |
| 88.1 | 17 |
| 39.3 | 16 |
| 58.5 | 16 |

Structural model:
a = 5.9543 Å, b = 5.9543 Å, c = 19.9439 Å
α = 90.00°, β = 90.00°, γ = 120.00°
Space group R-3m (No. 166, hexagonal axes)
One atom of each set of equivalent atoms:
K 0.0000 0.0000 0.0000 [3 per cell]
Rb 0.0000 0.0000 0.4082 [6 per cell]
Cu 0.0000 0.5000 0.5000 [9 per cell]
P 0.0000 0.0000 0.2394 [6 per cell]

***

# 4
# K2CuP3S9
Simulated powder X-ray diffraction pattern, copper Kα. Input: a structure optimized by DFT (GGA-PBE).

Largest 12 diffraction maxima, by intensity, 10 to 90 degrees two-theta:
| Position (°2θ) | intensity |
| --- | --- |
| 12.0 | 100 |
| 30.5 | 60 |
| 15.1 | 43 |
| 22.4 | 37 |
| 30.1 | 31 |
| 32.1 | 27 |
| 33.3 | 26 |
| 27.5 | 23 |
| 30.7 | 23 |
| 31.9 | 22 |
| 31.6 | 22 |
| 21.9 | 21 |

Structural model:
a = 6.8588 Å, b = 23.7653 Å, c = 10.8110 Å
α = 90.00°, β = 118.89°, γ = 90.00°
Space group P2_1/c (No. 14)
One atom of each set of equivalent atoms:
K 0.0067 0.0455 0.2388 [4 per cell]
K 0.2991 0.6953 0.1279 [4 per cell]
Cu 0.2382 0.6080 0.8096 [4 per cell]
P 0.0969 0.2227 0.7808 [4 per cell]
P 0.2220 0.0981 0.6581 [4 per cell]
P 0.2522 0.1011 0.9918 [4 per cell]
S 0.0619 0.5752 0.5810 [4 per cell]
S 0.0943 0.5711 0.9469 [4 per cell]
S 0.1764 0.1969 0.3025 [4 per cell]
S 0.2287 0.7047 0.8076 [4 per cell]
S 0.2472 0.1879 0.6635 [4 per cell]
S 0.2895 0.1900 0.9894 [4 per cell]
S 0.3979 0.0677 0.8702 [4 per cell]
S 0.4074 0.0725 0.5711 [4 per cell]
S 0.4685 0.0797 0.1886 [4 per cell]

***

# 5
# KCu3Te4Pb
Simulated powder X-ray diffraction pattern, copper Kα. Input: a structure optimized by DFT (GGA-PBE).

Largest 12 diffraction maxima, by intensity, 10 to 90 degrees two-theta:
| Position (°2θ) | intensity |
| --- | --- |
| 37.7 | 100 |
| 22.8 | 69 |
| 13.1 | 54 |
| 44.5 | 32 |
| 68.0 | 32 |
| 18.6 | 21 |
| 54.4 | 16 |
| 29.6 | 16 |
| 40.1 | 15 |
| 48.6 | 14 |
| 32.5 | 13 |
| 59.7 | 13 |

Structural model:
a = 6.7508 Å, b = 6.7508 Å, c = 6.7508 Å
α = 90.00°, β = 90.00°, γ = 90.00°
Space group P-43m (No. 215)
One atom of each set of equivalent atoms:
K 0.0000 0.0000 0.0000 [1 per cell]
Cu 0.0000 0.5000 0.5000 [3 per cell]
Te 0.2637 0.2637 0.2637 [4 per cell]
Pb 0.5000 0.5000 0.5000 [1 per cell]

***

# 6
# KCu3PdS4
Simulated powder X-ray diffraction pattern, copper Kα. Input: a structure optimized by DFT (GGA-PBE).

Largest 12 diffraction maxima, by intensity, 10 to 90 degrees two-theta:
| Position (°2θ) | intensity |
| --- | --- |
| 43.8 | 100 |
| 15.1 | 84 |
| 26.4 | 45 |
| 30.6 | 33 |
| 80.4 | 28 |
| 34.3 | 25 |
| 21.5 | 22 |
| 46.6 | 20 |
| 51.8 | 16 |
| 56.7 | 15 |
| 63.6 | 14 |
| 72.2 | 12 |

Structural model:
a = 5.8523 Å, b = 5.8523 Å, c = 5.8523 Å
α = 90.00°, β = 90.00°, γ = 90.00°
Space group P-43m (No. 215)
One atom of each set of equivalent atoms:
K 0.0000 0.0000 0.0000 [1 per cell]
Cu 0.0000 0.5000 0.5000 [3 per cell]
Pd 0.5000 0.5000 0.5000 [1 per cell]
S 0.2745 0.2745 0.2745 [4 per cell]